Structure and calculated X-ray powder pattern of BaLa3Ni2O8 (DFT lattice parameters and positions (PBE+U); Cu Kα X-rays).
Kinematic intensities with the Lorentz-polarization factor, no thermal factor.

Cell and atoms:
abc: 5.522 6.995 6.995
angles: 46.16 90.00 90.00
Fractional positions:
1 Ba 0.000 0.000 0.000
2 La 0.000 0.719 0.719
3 La 0.500 0.216 0.216
4 La 0.500 0.493 0.493
5 Ni 0.000 0.357 0.357
6 Ni 0.500 0.859 0.859
7 O 0.000 0.198 0.198
8 O 0.000 0.533 0.533
9 O 0.262 0.100 0.598
10 O 0.262 0.598 0.100
11 O 0.500 0.032 0.032
12 O 0.500 0.673 0.673
13 O 0.738 0.100 0.598
14 O 0.738 0.598 0.100

Top 12 peaks for 2θ = 5–70°, by angle:
d = 3.725 Å, I 22.3
d = 3.218 Å, I 12.6
d = 2.882 Å, I 100.0
d = 2.761 Å, I 35.2
d = 2.742 Å, I 34.5
d = 2.146 Å, I 28.5
d = 2.095 Å, I 14.7
d = 2.087 Å, I 14.5
d = 1.946 Å, I 34.9
d = 1.663 Å, I 18.6
d = 1.616 Å, I 18.4
d = 1.609 Å, I 22.4